Structure and theoretical X-ray powder pattern of Te2RhPb2 (a PBE-relaxed structure; Cu Kα, 1.54184 Å).
Neutral-atom scattering factors, no anomalous dispersion.

Structure:
Cell lengths 4.642, 4.665, 13.385 Å; angles 99.51, 98.67, 90.00 degrees
Space group P-1 (No. 2)
Asymmetric unit:
Te  0.072  0.314  0.139 x2
Te  0.309  0.073  0.637 x2
Rh  0.144  0.866  0.249 x2
Pb  0.204  0.436  0.393 x2
Pb  0.427  0.200  0.893 x2

The 10 most intense peaks (10 to 90 degrees two-theta), by angle:
two_theta, I (rel.)
27.35, 1000
27.85, 921
28.08, 820
33.78, 839
34.00, 832
34.34, 802
34.57, 816
38.60, 961
38.81, 916
55.89, 633

=====

Structure and theoretical X-ray powder pattern of Th2Rh6Pb (a PBE-relaxed structure; Cu Kα, 1.54184 Å).
Neutral-atom scattering factors, no anomalous dispersion.

Structure:
Cell lengths 4.046, 8.034, 11.551 Å; angles 90.00, 90.00, 90.00 degrees
Space group Immm (No. 71)
Asymmetric unit:
Th  0.000  0.000  0.165 x4
Rh  0.000  0.253  0.000 x4
Rh  0.000  0.253  0.335 x8
Pb  0.000  0.000  0.500 x2

The 10 most intense peaks (10 to 90 degrees two-theta), by angle:
two_theta, I (rel.)
24.64, 411
25.66, 402
39.33, 1000
40.39, 134
44.81, 173
45.14, 169
47.21, 148
52.34, 120
78.90, 132
79.38, 130

=====

Repeat the second record exactly.
Structure and theoretical X-ray powder pattern of Th2Rh6Pb (a PBE-relaxed structure; Cu Kα, 1.54184 Å).
Neutral-atom scattering factors, no anomalous dispersion.

Structure:
Cell lengths 4.046, 8.034, 11.551 Å; angles 90.00, 90.00, 90.00 degrees
Space group Immm (No. 71)
Asymmetric unit:
Th  0.000  0.000  0.165 x4
Rh  0.000  0.253  0.000 x4
Rh  0.000  0.253  0.335 x8
Pb  0.000  0.000  0.500 x2

The 10 most intense peaks (10 to 90 degrees two-theta), by angle:
two_theta, I (rel.)
24.64, 411
25.66, 402
39.33, 1000
40.39, 134
44.81, 173
45.14, 169
47.21, 148
52.34, 120
78.90, 132
79.38, 130